Computed XRD peak list
Compound: CeH3S3O12
Radiation: Cu Kα, 1.54184 Å
Structure: a PBE-relaxed structure
Lines closer than 0.1° are merged.

Peak list (10 most intense, 2θ = 10–80°, in order of rising 2θ)
| (hkl) | two_theta | d (Å) | I_rel |
| --- | --- | --- | --- |
| 0 0 1 | 10.5 | 8.464 | 100 |
| 1 0 1 | 18.1 | 4.888 | 30 |
| 2 0 -1 | 18.2 | 4.869 | 35 |
| 1 1 1 | 23.5 | 3.783 | 37 |
| 2 1 0 | 25.8 | 3.455 | 66 |
| 2 1 -2 | 25.9 | 3.442 | 33 |
| 0 2 0 | 30.0 | 2.980 | 23 |
| 2 1 1 | 31.7 | 2.827 | 21 |
| 3 1 -2 | 31.8 | 2.811 | 25 |
| 5 0 -4 | 49.5 | 1.840 | 22 |

Atomic structure:
Lattice parameters (Å, degrees): 9.736 5.959 9.774 90.00 119.64 90.00
Element x y z (fractional)
Ce: 0.167 0.000 0.333
Ce: 0.833 0.500 0.667
H: 0.282 0.601 0.944
H: 0.338 0.102 0.781
H: 0.445 0.102 0.164
H: 0.555 0.602 0.836
H: 0.662 0.602 0.219
H: 0.718 0.101 0.056
S: 0.097 0.005 0.694
S: 0.194 0.505 0.097
S: 0.403 0.505 0.597
S: 0.597 0.005 0.403
S: 0.806 0.005 0.903
S: 0.903 0.505 0.306
O: 0.035 0.506 0.962
O: 0.040 0.209 0.733
O: 0.042 0.801 0.736
O: 0.075 0.006 0.536
O: 0.233 0.709 0.193
O: 0.236 0.300 0.193
O: 0.284 0.995 0.815
O: 0.307 0.300 0.544
O: 0.307 0.709 0.540
O: 0.317 0.495 0.032
O: 0.460 0.006 0.426
O: 0.467 0.495 0.784
O: 0.533 0.995 0.216
O: 0.540 0.506 0.574
O: 0.683 0.995 0.968
O: 0.693 0.209 0.460
O: 0.693 0.800 0.456
O: 0.716 0.495 0.185
O: 0.764 0.800 0.807
O: 0.767 0.209 0.807
O: 0.925 0.506 0.464
O: 0.958 0.301 0.264
O: 0.960 0.709 0.267
O: 0.965 0.006 0.038